Cs2Rb3Cl3F2: calculated XRD peak list (a wavelength of 1.5418 Å), based on a DFT-relaxed cell (PBE, Alexandria).
Peak positions follow from Bragg's law for the DFT cell and can differ from measured ones.

Principal peaks in the range 2θ from 15° to 90°, sorted by position:
24.79 deg, 3.591 Å, I = 100.0; 25.84 deg, 3.447 Å, I = 57.1; 27.24 deg, 3.273 Å, I = 71.6; 30.93 deg, 2.891 Å, I = 38.4; 34.09 deg, 2.630 Å, I = 69.8; 40.73 deg, 2.215 Å, I = 52.4; 43.27 deg, 2.091 Å, I = 54.1; 48.98 deg, 1.860 Å, I = 23.7; 56.20 deg, 1.637 Å, I = 24.5; 65.54 deg, 1.424 Å, I = 24.7

abc: 14.282 14.282 14.282
angles: 158.78 158.78 30.19
Positions (direct):
Cs (0.250, 0.750, 0.500)
Cs (0.750, 0.250, 0.500)
Rb (0.000, 0.000, 0.000)
Rb (0.386, 0.386, 0.000)
Rb (0.614, 0.614, 0.000)
Cl (0.123, 0.123, 0.000)
Cl (0.500, 0.500, 0.000)
Cl (0.877, 0.877, 0.000)
F (0.289, 0.289, 0.000)
F (0.711, 0.711, 0.000)